No. 1
The following is a simulated powder X-ray diffraction pattern of ZnP2H4O9. It was derived from DFT lattice parameters and positions (PBE), using Cu Kα (λ = 1.5418 Å).
Neutral-atom scattering factors, no anomalous dispersion.

Atomic structure:
abc: 11.2852 9.1761 9.9941
angles: 71.98 50.65 57.37
Element x y z (fractional)
Zn 0.0000 0.0000 0.0000
Zn 0.2500 0.2500 0.2500
P 0.0048 0.1897 0.2270
P 0.0230 0.6716 0.2452
P 0.1897 0.0048 0.5784
P 0.6716 0.0230 0.0603
H 0.0994 0.9009 0.5125
H 0.4618 0.8536 0.3649
H 0.7375 0.7627 0.1506
H 0.7627 0.7375 0.3491
H 0.8536 0.4618 0.3198
H 0.8851 0.9302 0.7882
H 0.9009 0.0994 0.4873
H 0.9302 0.8851 0.3964
O 0.0056 0.1541 0.0899
O 0.0453 0.9677 0.6129
O 0.0868 0.7675 0.0809
O 0.1541 0.0056 0.7504
O 0.1601 0.4996 0.2444
O 0.1691 0.1852 0.1632
O 0.1852 0.1691 0.4825
O 0.3579 0.8367 0.4599
O 0.3596 0.3596 0.6404
O 0.4996 0.1601 0.0959
O 0.6096 0.6096 0.8904
O 0.6371 0.8759 0.2047
O 0.7675 0.0868 0.0648
O 0.7901 0.9045 0.8921
O 0.8367 0.3579 0.3455
O 0.8759 0.6371 0.2823
O 0.9045 0.7901 0.4133
O 0.9677 0.0453 0.3741

The 8 most intense peaks (10 to 90 degrees two-theta), in order of rising 2θ:
| Position (°2θ) | I_rel |
| --- | --- |
| 11.46 | 100.0 |
| 15.83 | 11.1 |
| 18.77 | 8.3 |
| 19.70 | 12.8 |
| 20.48 | 9.8 |
| 25.28 | 22.4 |
| 29.50 | 8.6 |
| 30.35 | 4.3 |

No. 2
The following is a simulated powder X-ray diffraction pattern of ZnP2H6O5. It was derived from DFT lattice parameters and positions (PBE), using Cu Kα (λ = 1.5418 Å).
Neutral-atom scattering factors, no anomalous dispersion.

Atomic structure:
abc: 7.8177 7.5005 10.5890
angles: 90.00 104.32 90.00
Element x y z (fractional)
Zn 0.1938 0.0394 0.1032
Zn 0.1938 0.4606 0.6032
Zn 0.8062 0.5394 0.3968
Zn 0.8062 0.9606 0.8968
P 0.0385 0.1859 0.3453
P 0.0385 0.3141 0.8453
P 0.4687 0.1239 0.6874
P 0.4687 0.3761 0.1874
P 0.5313 0.6239 0.8126
P 0.5313 0.8761 0.3126
P 0.9615 0.6859 0.1547
P 0.9615 0.8141 0.6547
H 0.1184 0.5866 0.1654
H 0.1184 0.9134 0.6654
H 0.1726 0.0761 0.4202
H 0.1726 0.4239 0.9202
H 0.2023 0.6810 0.4033
H 0.2023 0.8190 0.9033
H 0.3900 0.1164 0.7941
H 0.3900 0.3836 0.2941
H 0.3930 0.5225 0.1076
H 0.3930 0.9775 0.6076
H 0.4062 0.6573 0.4653
H 0.4062 0.8427 0.9653
H 0.5938 0.1573 0.0347
H 0.5938 0.3427 0.5347
H 0.6070 0.0225 0.3924
H 0.6070 0.4775 0.8924
H 0.6100 0.6164 0.7059
H 0.6100 0.8836 0.2059
H 0.7977 0.1810 0.0967
H 0.7977 0.3190 0.5967
H 0.8274 0.5761 0.0798
H 0.8274 0.9239 0.5798
H 0.8816 0.0866 0.3346
H 0.8816 0.4134 0.8346
O 0.0285 0.1442 0.9246
O 0.0285 0.3558 0.4246
O 0.0673 0.2135 0.2087
O 0.0673 0.2865 0.7087
O 0.2886 0.6486 0.4844
O 0.2886 0.8514 0.9844
O 0.3320 0.5999 0.7665
O 0.3320 0.9001 0.2665
O 0.4121 0.2036 0.1092
O 0.4121 0.2964 0.6092
O 0.5879 0.7036 0.3908
O 0.5879 0.7964 0.8908
O 0.6680 0.0999 0.7335
O 0.6680 0.4001 0.2335
O 0.7114 0.1486 0.0156
O 0.7114 0.3514 0.5156
O 0.9327 0.7135 0.2913
O 0.9327 0.7865 0.7913
O 0.9715 0.6442 0.5754
O 0.9715 0.8558 0.0754

The 8 most intense peaks (10 to 90 degrees two-theta), in order of rising 2θ:
| Position (°2θ) | I_rel |
| --- | --- |
| 14.63 | 97.0 |
| 17.36 | 100.0 |
| 18.33 | 47.3 |
| 26.12 | 28.7 |
| 29.58 | 33.5 |
| 30.15 | 31.8 |
| 32.88 | 24.1 |
| 33.63 | 24.1 |

No. 3
The following is a simulated powder X-ray diffraction pattern of ZrP2H2O6. It was derived from DFT lattice parameters and positions (PBE), using Cu Kα (λ = 1.5418 Å).
Neutral-atom scattering factors, no anomalous dispersion.

Atomic structure:
abc: 5.5171 5.5171 5.6238
angles: 90.00 90.00 120.00
Element x y z (fractional)
Zr 0.0000 0.0000 0.0000
P 0.3333 0.6667 0.2917
P 0.6667 0.3333 0.7083
H 0.3333 0.6667 0.5414
H 0.6667 0.3333 0.4586
O 0.1631 0.8033 0.2132
O 0.1967 0.3599 0.2132
O 0.3599 0.1631 0.7868
O 0.6401 0.8369 0.2132
O 0.8033 0.6401 0.7868
O 0.8369 0.1967 0.7868

The 8 most intense peaks (10 to 90 degrees two-theta), in order of rising 2θ:
| Position (°2θ) | I_rel |
| --- | --- |
| 15.76 | 23.8 |
| 18.57 | 22.5 |
| 24.45 | 100.0 |
| 32.46 | 19.9 |
| 37.10 | 22.0 |
| 41.05 | 11.9 |
| 50.10 | 19.8 |
| 53.28 | 18.6 |